Record 1
The following is a calculated powder XRD pattern of DySi3Rh5. It was derived from a DFT-relaxed cell (GGA-PBE, the Materials Project), using copper Kα.

Structure:
Cell: 15.652 15.652 3.882 Å, 90.00 90.00 120.00°
Sites, in units of the cell vectors:
1 Dy 0.100 0.706 0.250
2 Dy 0.294 0.394 0.250
3 Dy 0.394 0.100 0.750
4 Dy 0.606 0.900 0.250
5 Dy 0.706 0.606 0.750
6 Dy 0.900 0.294 0.750
7 Si 0.062 0.433 0.250
8 Si 0.120 0.870 0.750
9 Si 0.130 0.250 0.750
10 Si 0.240 0.681 0.750
11 Si 0.250 0.120 0.250
12 Si 0.319 0.558 0.750
13 Si 0.371 0.938 0.250
14 Si 0.433 0.371 0.750
15 Si 0.442 0.760 0.750
16 Si 0.558 0.240 0.250
17 Si 0.567 0.629 0.250
18 Si 0.629 0.062 0.750
19 Si 0.681 0.442 0.250
20 Si 0.750 0.880 0.750
21 Si 0.760 0.319 0.250
22 Si 0.870 0.750 0.250
23 Si 0.880 0.130 0.250
24 Si 0.938 0.567 0.750
25 Rh 0.030 0.886 0.250
26 Rh 0.043 0.271 0.250
27 Rh 0.075 0.539 0.750
28 Rh 0.114 0.143 0.250
29 Rh 0.143 0.030 0.750
30 Rh 0.153 0.414 0.750
31 Rh 0.223 0.571 0.250
32 Rh 0.228 0.957 0.250
33 Rh 0.261 0.847 0.750
34 Rh 0.271 0.228 0.750
35 Rh 0.348 0.777 0.250
36 Rh 0.414 0.261 0.250
37 Rh 0.429 0.652 0.250
38 Rh 0.461 0.536 0.750
39 Rh 0.464 0.925 0.750
40 Rh 0.536 0.075 0.250
41 Rh 0.539 0.464 0.250
42 Rh 0.571 0.348 0.750
43 Rh 0.586 0.739 0.750
44 Rh 0.652 0.223 0.750
45 Rh 0.729 0.772 0.250
46 Rh 0.739 0.153 0.250
47 Rh 0.772 0.043 0.750
48 Rh 0.777 0.429 0.750
49 Rh 0.847 0.586 0.250
50 Rh 0.857 0.970 0.250
51 Rh 0.886 0.857 0.750
52 Rh 0.925 0.461 0.250
53 Rh 0.957 0.729 0.750
54 Rh 0.970 0.114 0.750

Top 12 peaks for 2θ from 15° to 90°, by angle:
2θ = 28.7°, d = 3.110 Å, I 18; 2θ = 28.9°, d = 3.094 Å, I 8; 2θ = 35.2°, d = 2.553 Å, I 9; 2θ = 37.0°, d = 2.427 Å, I 100; 2θ = 38.3°, d = 2.353 Å, I 7; 2θ = 41.6°, d = 2.170 Å, I 8; 2θ = 46.8°, d = 1.941 Å, I 19; 2θ = 46.9°, d = 1.936 Å, I 11; 2θ = 50.9°, d = 1.795 Å, I 16; 2θ = 64.6°, d = 1.443 Å, I 7; 2θ = 71.6°, d = 1.318 Å, I 11; 2θ = 80.4°, d = 1.195 Å, I 10

Record 2
The following is a calculated powder XRD pattern of Na8AsO3. It was derived from a DFT-relaxed cell (GGA-PBE, the Materials Project), using copper Kα.

Structure:
Cell: 6.006 6.006 6.006 Å, 90.00 90.00 90.00°
Sites, in units of the cell vectors:
1 Na 0.234 0.234 0.234
2 Na 0.234 0.234 0.766
3 Na 0.234 0.766 0.234
4 Na 0.234 0.766 0.766
5 Na 0.766 0.234 0.234
6 Na 0.766 0.234 0.766
7 Na 0.766 0.766 0.234
8 Na 0.766 0.766 0.766
9 As 0.500 0.500 0.500
10 O 0.000 0.000 0.500
11 O 0.000 0.500 0.000
12 O 0.500 0.000 0.000

Top 12 peaks for 2θ from 15° to 90°, by angle:
2θ = 20.9°, d = 4.247 Å, I 25; 2θ = 25.7°, d = 3.468 Å, I 46; 2θ = 33.4°, d = 2.686 Å, I 26; 2θ = 36.6°, d = 2.452 Å, I 11; 2θ = 42.6°, d = 2.124 Å, I 100; 2θ = 45.3°, d = 2.002 Å, I 9; 2θ = 50.4°, d = 1.811 Å, I 19; 2θ = 57.4°, d = 1.605 Å, I 8; 2θ = 61.8°, d = 1.502 Å, I 14; 2θ = 63.9°, d = 1.457 Å, I 9; 2θ = 68.0°, d = 1.378 Å, I 6; 2θ = 77.9°, d = 1.226 Å, I 24

Record 3
The following is a calculated powder XRD pattern of YGa6Fe6. It was derived from a DFT-relaxed cell (GGA-PBE, the Materials Project), using copper Kα.

Structure:
Cell: 6.593 6.593 6.593 Å, 134.96 99.31 97.56°
Sites, in units of the cell vectors:
1 Y 0.000 0.000 0.000
2 Ga 0.181 0.681 0.500
3 Ga 0.334 0.000 0.334
4 Ga 0.344 0.344 0.000
5 Ga 0.656 0.656 0.000
6 Ga 0.666 0.000 0.666
7 Ga 0.819 0.319 0.500
8 Fe 0.000 0.000 0.500
9 Fe 0.000 0.500 0.000
10 Fe 0.245 0.500 0.745
11 Fe 0.500 0.000 0.000
12 Fe 0.500 0.500 0.500
13 Fe 0.755 0.500 0.255

Top 12 peaks for 2θ from 15° to 90°, by angle:
2θ = 35.6°, d = 2.525 Å, I 38; 2θ = 35.7°, d = 2.513 Å, I 72; 2θ = 41.4°, d = 2.183 Å, I 55; 2θ = 41.6°, d = 2.173 Å, I 83; 2θ = 41.7°, d = 2.165 Å, I 100; 2θ = 42.0°, d = 2.153 Å, I 46; 2θ = 42.3°, d = 2.134 Å, I 59; 2θ = 46.7°, d = 1.944 Å, I 96; 2θ = 46.9°, d = 1.936 Å, I 42; 2θ = 47.4°, d = 1.917 Å, I 36; 2θ = 75.7°, d = 1.256 Å, I 32; 2θ = 77.0°, d = 1.238 Å, I 35

Record 4
The following is a calculated powder XRD pattern of AgHO2. It was derived from a DFT-relaxed cell (GGA-PBE, the Materials Project), using copper Kα.

Structure:
Cell: 8.476 7.388 3.946 Å, 90.00 116.11 90.00°
Sites, in units of the cell vectors:
1 Ag 0.000 0.250 0.000
2 Ag 0.000 0.750 0.000
3 Ag 0.500 0.250 0.000
4 Ag 0.500 0.750 0.000
5 H 0.221 0.000 0.416
6 H 0.277 0.000 0.967
7 H 0.721 0.500 0.416
8 H 0.777 0.500 0.967
9 O 0.134 0.000 0.138
10 O 0.270 0.412 0.448
11 O 0.270 0.588 0.448
12 O 0.363 0.000 0.853
13 O 0.634 0.500 0.138
14 O 0.770 0.088 0.448
15 O 0.770 0.912 0.448
16 O 0.863 0.500 0.853

Top 12 peaks for 2θ from 15° to 90°, by angle:
2θ = 23.4°, d = 3.806 Å, I 53; 2θ = 24.1°, d = 3.694 Å, I 43; 2θ = 25.1°, d = 3.543 Å, I 62; 2θ = 25.7°, d = 3.462 Å, I 100; 2θ = 33.8°, d = 2.651 Å, I 76; 2θ = 35.1°, d = 2.557 Å, I 54; 2θ = 35.5°, d = 2.526 Å, I 39; 2θ = 41.8°, d = 2.162 Å, I 18; 2θ = 48.8°, d = 1.866 Å, I 24; 2θ = 49.8°, d = 1.830 Å, I 27; 2θ = 54.2°, d = 1.692 Å, I 17; 2θ = 56.2°, d = 1.638 Å, I 18

Record 5
The following is a calculated powder XRD pattern of Na4Sn2C4SO16. It was derived from a DFT-relaxed cell (GGA-PBE, the Materials Project), using copper Kα.

Structure:
Cell: 9.913 10.061 10.144 Å, 90.28 119.11 117.60°
Sites, in units of the cell vectors:
1 Na 0.000 0.000 0.000
2 Na 0.001 0.409 0.591
3 Na 0.006 0.414 0.998
4 Na 0.410 0.418 0.998
5 Na 0.497 0.140 0.249
6 Na 0.503 0.152 0.839
7 Na 0.506 0.764 0.841
8 Na 0.983 0.997 0.579
9 Sn 0.244 0.073 0.418
10 Sn 0.249 0.580 0.417
11 Sn 0.746 0.579 0.418
12 Sn 0.762 0.587 0.916
13 C 0.174 0.783 0.578
14 C 0.185 0.786 0.197
15 C 0.305 0.371 0.645
16 C 0.316 0.367 0.258
17 C 0.679 0.737 0.629
18 C 0.685 0.352 0.622
19 C 0.805 0.794 0.209
20 C 0.816 0.421 0.211
21 S 0.005 0.208 0.798
22 S 0.501 0.955 0.043
23 O 0.023 0.761 0.558
24 O 0.065 0.664 0.074
25 O 0.119 0.386 0.854
26 O 0.131 0.148 0.858
27 O 0.187 0.659 0.564
28 O 0.194 0.228 0.227
29 O 0.200 0.389 0.509
30 O 0.206 0.921 0.194
31 O 0.286 0.235 0.639
32 O 0.291 0.774 0.335
33 O 0.299 0.488 0.271
34 O 0.303 0.921 0.613
35 O 0.385 0.025 0.987
36 O 0.386 0.780 0.980
37 O 0.415 0.484 0.774
38 O 0.466 0.395 0.267
39 O 0.524 0.710 0.606
40 O 0.562 0.232 0.500
41 O 0.616 0.009 0.218
42 O 0.619 0.013 0.977
43 O 0.685 0.391 0.074
44 O 0.689 0.723 0.506
45 O 0.696 0.656 0.219
46 O 0.712 0.356 0.759
47 O 0.786 0.792 0.074
48 O 0.799 0.486 0.609
49 O 0.806 0.430 0.336
50 O 0.813 0.779 0.769
51 O 0.890 0.153 0.864
52 O 0.894 0.157 0.622
53 O 0.920 0.914 0.329
54 O 0.967 0.442 0.232

Top 12 peaks for 2θ from 15° to 90°, by angle:
2θ = 20.3°, d = 4.375 Å, I 41; 2θ = 20.4°, d = 4.349 Å, I 100; 2θ = 20.7°, d = 4.299 Å, I 34; 2θ = 20.9°, d = 4.258 Å, I 77; 2θ = 21.0°, d = 4.225 Å, I 63; 2θ = 24.9°, d = 3.580 Å, I 33; 2θ = 25.0°, d = 3.556 Å, I 38; 2θ = 32.3°, d = 2.771 Å, I 65; 2θ = 32.4°, d = 2.762 Å, I 33; 2θ = 34.7°, d = 2.584 Å, I 32; 2θ = 35.4°, d = 2.536 Å, I 56; 2θ = 36.3°, d = 2.477 Å, I 31

Record 6
The following is a calculated powder XRD pattern of Eu2Sc2O5. It was derived from a DFT-relaxed cell (GGA-PBE, the Materials Project), using copper Kα.

Structure:
Cell: 8.848 8.848 8.848 Å, 56.00 140.45 142.01°
Sites, in units of the cell vectors:
1 Eu 0.028 0.107 0.135
2 Eu 0.028 0.393 0.421
3 Eu 0.972 0.607 0.579
4 Eu 0.972 0.893 0.865
5 Sc 0.390 0.710 0.181
6 Sc 0.507 0.007 0.500
7 Sc 0.507 0.507 0.000
8 Sc 0.529 0.210 0.819
9 O 0.008 0.266 0.768
10 O 0.008 0.740 0.242
11 O 0.230 0.858 0.872
12 O 0.459 0.167 0.569
13 O 0.459 0.390 0.792
14 O 0.499 0.240 0.232
15 O 0.499 0.766 0.758
16 O 0.598 0.667 0.208
17 O 0.598 0.890 0.431
18 O 0.986 0.358 0.128

Top 12 peaks for 2θ from 15° to 90°, by angle:
2θ = 21.4°, d = 4.151 Å, I 46; 2θ = 22.8°, d = 3.906 Å, I 15; 2θ = 29.8°, d = 2.993 Å, I 35; 2θ = 31.1°, d = 2.880 Å, I 39; 2θ = 31.4°, d = 2.845 Å, I 100; 2θ = 37.9°, d = 2.376 Å, I 17; 2θ = 38.8°, d = 2.319 Å, I 21; 2θ = 40.9°, d = 2.206 Å, I 23; 2θ = 43.6°, d = 2.075 Å, I 33; 2θ = 54.0°, d = 1.698 Å, I 18; 2θ = 55.5°, d = 1.656 Å, I 21; 2θ = 63.6°, d = 1.462 Å, I 10

Record 7
The following is a calculated powder XRD pattern of Tb2InNi2. It was derived from a DFT-relaxed cell (GGA-PBE, the Materials Project), using copper Kα.

Structure:
Cell: 7.432 7.432 3.650 Å, 90.00 90.00 90.00°
Sites, in units of the cell vectors:
1 Tb 0.175 0.325 0.000
2 Tb 0.325 0.825 0.000
3 Tb 0.675 0.175 0.000
4 Tb 0.825 0.675 0.000
5 In 0.000 0.000 0.500
6 In 0.500 0.500 0.500
7 Ni 0.117 0.617 0.500
8 Ni 0.383 0.117 0.500
9 Ni 0.617 0.883 0.500
10 Ni 0.883 0.383 0.500

Top 12 peaks for 2θ from 15° to 90°, by angle:
2θ = 26.8°, d = 3.324 Å, I 22; 2θ = 34.1°, d = 2.628 Å, I 16; 2θ = 34.4°, d = 2.604 Å, I 60; 2θ = 36.6°, d = 2.458 Å, I 100; 2θ = 38.3°, d = 2.350 Å, I 44; 2θ = 50.0°, d = 1.825 Å, I 16; 2θ = 50.6°, d = 1.803 Å, I 16; 2θ = 57.0°, d = 1.616 Å, I 18; 2θ = 58.4°, d = 1.579 Å, I 18; 2θ = 64.7°, d = 1.442 Å, I 18; 2θ = 69.4°, d = 1.354 Å, I 13; 2θ = 73.9°, d = 1.283 Å, I 10

Record 8
The following is a calculated powder XRD pattern of IrC2. It was derived from a DFT-relaxed cell (GGA-PBE, the Materials Project), using copper Kα.

Structure:
Cell: 5.166 5.166 9.409 Å, 90.00 90.00 75.03°
Sites, in units of the cell vectors:
1 Ir 0.196 0.804 0.794
2 Ir 0.244 0.244 0.000
3 Ir 0.256 0.256 0.500
4 Ir 0.304 0.696 0.294
5 Ir 0.696 0.304 0.706
6 Ir 0.744 0.744 0.500
7 Ir 0.756 0.756 0.000
8 Ir 0.804 0.196 0.206
9 C 0.121 0.227 0.717
10 C 0.163 0.672 0.516
11 C 0.172 0.663 0.016
12 C 0.227 0.121 0.283
13 C 0.273 0.379 0.783
14 C 0.328 0.837 0.516
15 C 0.337 0.828 0.016
16 C 0.379 0.273 0.217
17 C 0.621 0.727 0.783
18 C 0.663 0.172 0.984
19 C 0.672 0.163 0.484
20 C 0.727 0.621 0.217
21 C 0.773 0.879 0.717
22 C 0.828 0.337 0.984
23 C 0.837 0.328 0.484
24 C 0.879 0.773 0.283

Top 12 peaks for 2θ from 15° to 90°, by angle:
2θ = 26.0°, d = 3.423 Å, I 20; 2θ = 28.9°, d = 3.090 Å, I 100; 2θ = 34.3°, d = 2.615 Å, I 47; 2θ = 36.0°, d = 2.495 Å, I 67; 2θ = 37.3°, d = 2.412 Å, I 14; 2θ = 38.3°, d = 2.352 Å, I 21; 2θ = 42.5°, d = 2.128 Å, I 19; 2θ = 44.2°, d = 2.049 Å, I 20; 2θ = 53.5°, d = 1.712 Å, I 25; 2θ = 57.1°, d = 1.613 Å, I 30; 2θ = 66.7°, d = 1.402 Å, I 11; 2θ = 72.0°, d = 1.312 Å, I 10